Na3Mn2P2C2O14: calculated XRD peak list (Cu Kα, 1.54184 Å), based on DFT lattice parameters and positions (PBE+U).
Neutral-atom scattering factors, no anomalous dispersion.

The 10 most intense peaks (2θ from 10° to 80°), sorted by position:
- hkl 1 1 0, 2θ 16.53, intensity 52
- hkl 1 -1 0, 2θ 16.76, intensity 55
- hkl 0 1 -2, 2θ 20.00, intensity 45
- hkl 1 0 -2, 2θ 21.82, intensity 50
- hkl 1 -1 2, 2θ 24.26, intensity 37
- hkl 0 2 2, 2θ 25.56, intensity 88
- hkl 2 0 0, 2θ 27.14, intensity 100
- hkl 2 2 0, 2θ 33.42, intensity 37
- hkl 0 3 2, 2θ 33.69, intensity 52
- hkl 0 0 4, 2θ 34.55, intensity 56

Cell and atoms:
Lattice parameters (Å, degrees): 6.5731 9.1027 10.3915 87.89 89.89 89.18
Element x y z (fractional)
Na (0.0027, 0.2635, 0.3741)
Na (0.0427, 0.2617, 0.8839)
Na (0.4806, 0.2684, 0.3841)
Na (0.5194, 0.7316, 0.6159)
Na (0.9573, 0.7383, 0.1161)
Na (0.9973, 0.7365, 0.6259)
Mn (0.2518, 0.8517, 0.3884)
Mn (0.2584, 0.8510, 0.8979)
Mn (0.7416, 0.1490, 0.1021)
Mn (0.7482, 0.1483, 0.6116)
P (0.2434, 0.0734, 0.1409)
P (0.2498, 0.0696, 0.6405)
P (0.7502, 0.9304, 0.3595)
P (0.7566, 0.9266, 0.8591)
C (0.2418, 0.5851, 0.3597)
C (0.2527, 0.5870, 0.8627)
C (0.7473, 0.4130, 0.1373)
C (0.7582, 0.4149, 0.6403)
O (0.0592, 0.1771, 0.1096)
O (0.0629, 0.1640, 0.5972)
O (0.2245, 0.9266, 0.0725)
O (0.2331, 0.6825, 0.2643)
O (0.2364, 0.4489, 0.3498)
O (0.2396, 0.0350, 0.7889)
O (0.2415, 0.4550, 0.8422)
O (0.2448, 0.0408, 0.2914)
O (0.2494, 0.6472, 0.9757)
O (0.2546, 0.9199, 0.5724)
O (0.2571, 0.6491, 0.4723)
O (0.2675, 0.6912, 0.7686)
O (0.4344, 0.1600, 0.1021)
O (0.4363, 0.1627, 0.6022)
O (0.5637, 0.8373, 0.3978)
O (0.5656, 0.8400, 0.8979)
O (0.7325, 0.3088, 0.2314)
O (0.7429, 0.3509, 0.5277)
O (0.7454, 0.0801, 0.4276)
O (0.7506, 0.3528, 0.0243)
O (0.7552, 0.9592, 0.7086)
O (0.7585, 0.5450, 0.1578)
O (0.7604, 0.9650, 0.2111)
O (0.7636, 0.5511, 0.6502)
O (0.7669, 0.3175, 0.7357)
O (0.7755, 0.0734, 0.9275)
O (0.9371, 0.8360, 0.4028)
O (0.9408, 0.8229, 0.8904)